For CsPm6Te8, a cell relaxed with GGA-PBE gives the theoretical PXRD pattern in this record (Cu Kα).
Neutral-atom scattering factors, no anomalous dispersion.

abc: 12.077 12.077 4.542
angles: 90.00 90.00 120.00
Positions (direct):
Cs1 0.000 0.000 0.000
Pm1 0.137 0.652 0.751
Pm2 0.348 0.485 0.751
Pm3 0.485 0.137 0.249
Pm4 0.515 0.863 0.751
Pm5 0.652 0.515 0.249
Pm6 0.863 0.348 0.249
Te1 0.047 0.354 0.749
Te2 0.307 0.953 0.749
Te3 0.333 0.667 0.250
Te4 0.354 0.307 0.251
Te5 0.646 0.693 0.749
Te6 0.667 0.333 0.750
Te7 0.693 0.047 0.251
Te8 0.953 0.646 0.251

Principal peaks in the range 2θ from 10° to 90°, most intense first:
two_theta, I_rel, hkl
30.0, 100, 1 2 1
35.7, 89, 4 -2 1
30.8, 46, 1 3 0
42.6, 45, 2 3 1
25.6, 41, 3 0 0
26.0, 38, 2 0 1
39.7, 30, 0 0 2
21.3, 29, 1 0 1
67.8, 23, 2 6 1
65.8, 22, 5 3 1